No. 1
For CaLaFeSbO6, a cell relaxed with GGA+U gives the calculated PXRD pattern in this record (Cu Kα (weighted mean of Kα1 and Kα2)).
Lines closer than 0.1° are merged.

Most intense lines, 10° ≤ 2θ ≤ 80°, sorted by position:
d (Å), 2θ/deg, intensity
4.581, 19.37, 24
2.882, 31.03, 44
2.865, 31.22, 100
2.844, 31.45, 48
2.815, 31.79, 45
2.798, 31.98, 44
2.033, 44.57, 25
2.019, 44.90, 28
1.983, 45.75, 22
1.631, 56.42, 23

Structural model:
a b c (Å): 5.5983 5.7659 8.0754
angles (deg): 90.35 90.48 91.42
Fractional coordinates of all 20 atoms:
1 Ca 0.0000 0.0000 0.0000
2 Ca 0.4911 0.3936 0.4965
3 La 0.0197 0.8980 0.4946
4 La 0.5305 0.4958 0.9957
5 Fe 0.0121 0.4459 0.2475
6 Fe 0.5125 0.9476 0.7466
7 Sb 0.0130 0.4449 0.7458
8 Sb 0.5098 0.9490 0.2452
9 O 0.1115 0.4074 0.9849
10 O 0.2057 0.1670 0.6874
11 O 0.2246 0.1408 0.2945
12 O 0.3060 0.6452 0.6962
13 O 0.3166 0.6564 0.3000
14 O 0.4085 0.9136 0.0072
15 O 0.6061 0.9849 0.4847
16 O 0.7073 0.2380 0.1948
17 O 0.7234 0.2426 0.7966
18 O 0.7978 0.7577 0.1970
19 O 0.8250 0.7278 0.8059
20 O 0.9060 0.4808 0.5087


No. 2
For Mn2RhO4, a cell relaxed with GGA+U gives the calculated PXRD pattern in this record (Cu Kα (weighted mean of Kα1 and Kα2)).
Lines closer than 0.1° are merged.

Most intense lines, 10° ≤ 2θ ≤ 80°, sorted by position:
d (Å), 2θ/deg, intensity
5.035, 17.61, 48
3.104, 28.76, 20
2.681, 33.42, 56
2.605, 34.43, 100
2.518, 35.66, 32
2.240, 40.27, 16
1.719, 53.30, 17
1.553, 59.52, 24
1.551, 59.63, 24
1.522, 60.87, 22

Structural model:
a b c (Å): 6.2075 6.2075 8.6238
angles (deg): 90.00 90.00 92.37
Fractional coordinates of all 28 atoms:
1 Mn 0.2395 0.7605 0.7500
2 Mn 0.2507 0.5062 0.3762
3 Mn 0.2515 0.2515 0.0000
4 Mn 0.4938 0.7493 0.1238
5 Mn 0.5062 0.2507 0.6238
6 Mn 0.7485 0.7485 0.5000
7 Mn 0.7493 0.4938 0.8762
8 Mn 0.7605 0.2395 0.2500
9 Rh 0.0058 0.2547 0.6255
10 Rh 0.2547 0.0058 0.3745
11 Rh 0.7453 0.9942 0.8745
12 Rh 0.9942 0.7453 0.1255
13 O 0.0176 0.7612 0.3620
14 O 0.0402 0.2506 0.3835
15 O 0.2388 0.9824 0.1380
16 O 0.2439 0.5280 0.1408
17 O 0.2506 0.0402 0.6165
18 O 0.2519 0.4959 0.6066
19 O 0.4720 0.7561 0.3592
20 O 0.4959 0.2519 0.3934
21 O 0.5041 0.7481 0.8934
22 O 0.5280 0.2439 0.8592
23 O 0.7481 0.5041 0.1066
24 O 0.7494 0.9598 0.1165
25 O 0.7561 0.4720 0.6408
26 O 0.7612 0.0176 0.6380
27 O 0.9598 0.7494 0.8835
28 O 0.9824 0.2388 0.8620